[1]
Starting from a crystal structure in Alexandria, relaxed with GGA-PBE, the powder X-ray diffraction pattern of Cs2USe2O2 was calculated for Cu Ka.

Structural model:
```
14
Lattice="4.291 0.000 0.000 0.000 4.291 0.000 0.000 0.000 22.791" Properties=species:S:1:pos:R:3 pbc="T T T"
Cs 0.000 0.000 4.106
Cs 0.000 0.000 18.685
Cs 2.146 2.146 7.289
Cs 2.146 2.146 15.501
U 0.000 0.000 11.395
U 2.146 2.146 0.000
Se 0.000 0.000 8.690
Se 0.000 0.000 14.101
Se 2.146 2.146 2.706
Se 2.146 2.146 20.085
O 0.000 2.146 0.000
O 0.000 2.146 11.395
O 2.146 0.000 0.000
O 2.146 0.000 11.395
```

Top 8 peaks for 15 to 90 degrees two-theta, in order of falling intensity:
23.82 deg, rel. 100
29.44 deg, rel. 77
41.40 deg, rel. 51
21.07 deg, rel. 50
23.42 deg, rel. 37
42.12 deg, rel. 36
60.54 deg, rel. 34
37.95 deg, rel. 31

=====

[2]
Starting from a crystal structure in Alexandria, relaxed with GGA-PBE, the powder X-ray diffraction pattern of Mg5In6 was calculated for Cu Ka.

Structural model:
```
11
Lattice="4.176 -6.171 0.000 4.176 6.171 0.000 -2.254 0.000 5.250" Properties=species:S:1:pos:R:3 pbc="T T T"
Mg 0.000 0.000 0.000
Mg 3.049 4.422 2.625
Mg 4.176 2.738 0.000
Mg 4.176 -2.738 0.000
Mg 3.049 -4.422 2.625
In 1.798 1.658 1.784
In 0.691 0.000 4.348
In 1.798 -1.658 1.784
In 4.301 1.658 3.466
In 5.408 0.000 0.902
In 4.301 -1.658 3.466
```

Top 8 peaks for 15 to 90 degrees two-theta, in order of falling intensity:
27.16 deg, rel. 100
32.87 deg, rel. 72
39.21 deg, rel. 57
32.52 deg, rel. 57
35.85 deg, rel. 51
33.69 deg, rel. 48
23.18 deg, rel. 46
41.15 deg, rel. 43

=====

[3]
Starting from a crystal structure in Alexandria, relaxed with GGA-PBE, the powder X-ray diffraction pattern of KTc2GeO8 was calculated for Cu Ka.

Structural model:
```
12
Lattice="2.668 1.541 8.689 -2.668 1.541 8.689 0.000 -3.081 8.689" Properties=species:S:1:pos:R:3 pbc="T T T"
K 0.000 0.000 0.000
Tc 0.000 0.000 6.394
Tc 0.000 0.000 19.674
Ge 0.000 0.000 13.034
O -1.000 -1.435 11.582
O -0.743 -1.583 14.486
O 0.000 0.000 8.145
O -0.743 1.583 11.582
O -1.000 1.435 14.486
O 0.000 0.000 17.923
O 1.742 -0.148 11.582
O 1.742 0.148 14.486
```

Top 8 peaks for 15 to 90 degrees two-theta, in order of falling intensity:
23.60 deg, rel. 100
33.61 deg, rel. 64
54.42 deg, rel. 37
20.40 deg, rel. 23
60.07 deg, rel. 22
41.46 deg, rel. 18
75.63 deg, rel. 12
48.28 deg, rel. 11

=====

[4]
Starting from a crystal structure in Alexandria, relaxed with GGA-PBE, the powder X-ray diffraction pattern of Cu2Ag3Br6 was calculated for Cu Ka.

Structural model:
```
11
Lattice="7.230 0.000 0.000 -3.615 6.262 0.000 0.000 0.000 7.331" Properties=species:S:1:pos:R:3 pbc="T T T"
Cu 0.000 4.174 1.546
Cu 3.615 2.087 5.785
Ag 0.000 0.000 0.000
Ag 0.000 4.174 6.025
Ag 3.615 2.087 1.307
Br -2.339 4.364 1.714
Br 1.006 2.055 1.714
Br 2.282 0.156 5.617
Br 1.333 6.105 1.714
Br 2.610 4.207 5.617
Br 5.954 1.898 5.617
```

Top 8 peaks for 15 to 90 degrees two-theta, in order of falling intensity:
27.51 deg, rel. 100
43.35 deg, rel. 56
24.28 deg, rel. 42
50.30 deg, rel. 29
28.21 deg, rel. 23
37.79 deg, rel. 21
44.76 deg, rel. 20
45.63 deg, rel. 18

=====

[5]
Starting from a crystal structure in Alexandria, relaxed with GGA-PBE, the powder X-ray diffraction pattern of Tm4Cu2S was calculated for Cu Ka.

Structural model:
```
14
Lattice="12.552 0.000 0.000 0.000 3.768 0.000 -4.716 0.000 6.660" Properties=species:S:1:pos:R:3 pbc="T T T"
Tm -0.684 0.000 2.623
Tm 1.800 1.884 0.548
Tm -0.241 0.000 6.112
Tm 2.244 1.884 4.037
Tm 5.592 1.884 2.623
Tm 8.076 0.000 0.548
Tm 6.035 1.884 6.112
Tm 8.520 0.000 4.037
Cu -1.740 1.884 4.488
Cu 3.300 0.000 2.172
Cu 4.536 0.000 4.488
Cu 9.576 1.884 2.172
S 0.000 0.000 0.000
S 6.276 1.884 0.000
```

Top 8 peaks for 15 to 90 degrees two-theta, in order of falling intensity:
32.01 deg, rel. 100
33.45 deg, rel. 45
40.76 deg, rel. 41
33.07 deg, rel. 38
29.23 deg, rel. 35
27.42 deg, rel. 34
35.02 deg, rel. 25
48.31 deg, rel. 25

=====

[6]
Starting from a crystal structure in Alexandria, relaxed with GGA-PBE, the powder X-ray diffraction pattern of LaTbHo2Th was calculated for Cu Ka.

Structural model:
```
5
Lattice="3.524 0.000 0.000 0.000 5.668 0.000 -0.012 0.000 8.727" Properties=species:S:1:pos:R:3 pbc="T T T"
La 0.000 0.000 0.000
Tb 1.756 0.000 4.364
Ho 0.002 2.834 2.805
Ho 3.510 2.834 5.923
Th 1.762 2.834 0.000
```

Top 8 peaks for 15 to 90 degrees two-theta, in order of falling intensity:
31.59 deg, rel. 100
34.66 deg, rel. 20
36.40 deg, rel. 18
61.50 deg, rel. 16
32.66 deg, rel. 15
56.24 deg, rel. 15
15.63 deg, rel. 14
20.35 deg, rel. 12